For NaCoBiO4, a GGA+U-relaxed structure gives the theoretical powder diffractogram in this record (Cu Kα).
Intensities are scaled so that the largest is 100.

Principal peaks in the range 5 to 70 degrees two-theta, in order of falling intensity:
| d (Å) | Position (°2θ) | I/Imax |
| --- | --- | --- |
| 5.002 | 17.73 | 100 |
| 2.857 | 31.30 | 67 |
| 2.280 | 39.52 | 33 |
| 2.746 | 32.61 | 33 |
| 2.672 | 33.54 | 31 |
| 1.596 | 57.76 | 27 |
| 2.120 | 42.66 | 21 |
| 2.501 | 35.91 | 20 |
| 4.469 | 19.86 | 19 |
| 1.710 | 53.60 | 17 |

Crystal structure
```
data_NaCoBiO4
_chemical_formula_sum 'Na4 Co4 Bi4 O16'
_symmetry_space_group_name_H-M 'I m m a'
_symmetry_Int_Tables_number 74
_symmetry_space_group_name_Hall '-I 2b 2'
_cell_length_a 6.036
_cell_length_b 6.963
_cell_length_c 8.939
_cell_angle_alpha 90.00
_cell_angle_beta 90.00
_cell_angle_gamma 90.00
loop_
_atom_site_label
_atom_site_fract_x
_atom_site_fract_y
_atom_site_fract_z
Na1 0.000 0.250 0.137
Co1 0.250 0.250 0.750
Bi1 0.000 0.000 0.500
O1 0.000 0.064 0.751
O2 0.237 0.250 0.531
```